No. 1
For Dy4Er7Th, a GGA-PBE-relaxed structure gives the simulated PXRD pattern in this record (a wavelength of 1.5418 Å).
Intensities are scaled so that the largest is 100.

The 12 most intense peaks (2θ from 15° to 90°), by intensity:
2θ/deg  intensity
31.91  100
31.67  57
32.48  50
32.83  43
30.73  42
43.57  16
47.85  16
57.71  16
45.84  15
56.18  13
31.99  12
33.25  11

Atomic structure:
```
data_Dy4Er7Th
_cell_length_a 6.756
_cell_length_b 6.930
_cell_length_c 8.582
_cell_angle_alpha 78.86
_cell_angle_beta 76.97
_cell_angle_gamma 75.84
_space_group_name_H-M_alt 'P -1'
_space_group_IT_number 2
_space_group_name_Hall '-P 1'
loop_
_atom_site_label
_atom_site_type_symbol
_atom_site_fract_x
_atom_site_fract_y
_atom_site_fract_z
_atom_site_occupancy
Dy1 Dy 0.157 0.270 0.317 1
Dy2 Dy 0.315 0.890 0.666 1
Er1 Er 0.018 0.251 0.976 1
Er2 Er 0.178 0.764 0.326 1
Er3 Er 0.324 0.391 0.636 1
Er4 Er 0.500 0.000 0.000 1
Th1 Th 0.500 0.500 0.000 1
```



No. 2
For Dy5Er8Th, a GGA-PBE-relaxed structure gives the simulated PXRD pattern in this record (a wavelength of 1.5418 Å).
Intensities are scaled so that the largest is 100.

The 12 most intense peaks (2θ from 15° to 90°), by intensity:
2θ/deg  intensity
34.30  100
29.59  86
29.48  84
28.57  79
35.08  68
34.79  67
55.58  28
64.23  24
87.51  22
59.65  22
22.68  21
32.08  21

Atomic structure:
```
data_Dy5Er8Th
_cell_length_a 9.546
_cell_length_b 9.546
_cell_length_c 9.920
_cell_angle_alpha 90.00
_cell_angle_beta 90.00
_cell_angle_gamma 90.00
_space_group_name_H-M_alt 'I -4'
_space_group_IT_number 82
_space_group_name_Hall 'I -4'
loop_
_atom_site_label
_atom_site_type_symbol
_atom_site_fract_x
_atom_site_fract_y
_atom_site_fract_z
_atom_site_occupancy
Dy1 Dy 0.000 0.000 0.000 1
Dy2 Dy 0.115 0.214 0.418 1
Er1 Er 0.070 0.327 0.086 1
Er2 Er 0.092 0.171 0.747 1
Th1 Th 0.000 0.500 0.750 1
```



Number 1 is which compound? Dy4Er7Th